[1]
Diffraction record for UGeO2. The PXRD pattern is calculated, not measured: it uses a PBE-relaxed structure and Cu Kα (λ = 1.5418 Å).
Neutral-atom scattering factors, no anomalous dispersion.

The 10 most intense peaks (5° ≤ 2θ ≤ 70°), by angle:
2θ (°)	I (rel.)
15.07	50
29.14	15
30.40	100
35.04	24
35.35	47
50.62	32
50.85	16
60.00	17
60.41	34
63.25	16

```
UGeO2
1.0
-3.591 3.591 5.122
3.591 -3.591 5.122
3.591 3.591 -5.122
U Ge O
4 4 8
Direct
0.000 0.000 0.000 U
0.500 0.000 0.000 U
0.500 0.000 0.500 U
0.500 0.500 0.500 U
0.000 0.000 0.500 Ge
0.000 0.500 0.000 Ge
0.000 0.500 0.500 Ge
0.500 0.500 0.000 Ge
0.268 0.850 0.049 O
0.280 0.232 0.082 O
0.301 0.220 0.451 O
0.350 0.801 0.582 O
0.650 0.199 0.418 O
0.699 0.780 0.549 O
0.720 0.768 0.918 O
0.732 0.150 0.951 O
```

[2]
Diffraction record for Cu2NiPb. The PXRD pattern is calculated, not measured: it uses a PBE-relaxed structure and Cu Kα (λ = 1.5418 Å).
Neutral-atom scattering factors, no anomalous dispersion.

The 10 most intense peaks (5° ≤ 2θ ≤ 70°), by angle:
2θ (°)	I (rel.)
22.67	32
28.45	61
34.33	38
36.73	41
37.31	51
38.80	100
41.10	30
41.53	79
43.60	50
46.28	44

```
Cu2NiPb
1.0
3.108 0.000 0.000
0.000 3.923 0.000
-0.984 0.000 5.225
Cu Ni Pb
2 1 1
Direct
0.000 0.000 0.000 Cu
0.467 0.500 0.891 Cu
0.100 0.500 0.281 Ni
0.663 0.000 0.496 Pb
```

[3]
Diffraction record for GaCuClO2. The PXRD pattern is calculated, not measured: it uses a PBE-relaxed structure and Cu Kα (λ = 1.5418 Å).
Neutral-atom scattering factors, no anomalous dispersion.

The 10 most intense peaks (5° ≤ 2θ ≤ 70°), by angle:
2θ (°)	I (rel.)
14.44	100
23.66	12
26.93	18
27.40	31
29.11	20
34.10	23
35.82	17
37.17	19
46.17	18
51.91	12

```
GaCuClO2
1.0
6.725 0.000 0.000
0.000 3.932 0.000
-2.922 0.000 6.508
Ga Cu Cl O
2 2 2 4
Direct
0.144 0.250 0.166 Ga
0.856 0.750 0.834 Ga
0.030 0.250 0.642 Cu
0.970 0.750 0.358 Cu
0.490 0.250 0.249 Cl
0.510 0.750 0.751 Cl
0.011 0.250 0.363 O
0.048 0.750 0.129 O
0.952 0.250 0.871 O
0.989 0.750 0.637 O
```

Q: Number 2 is which compound?
A: Cu2NiPb

What did the first record say?
Diffraction record for UGeO2. The PXRD pattern is calculated, not measured: it uses a PBE-relaxed structure and Cu Kα (λ = 1.5418 Å).
Neutral-atom scattering factors, no anomalous dispersion.

The 10 most intense peaks (5° ≤ 2θ ≤ 70°), by angle:
2θ (°)	I (rel.)
15.07	50
29.14	15
30.40	100
35.04	24
35.35	47
50.62	32
50.85	16
60.00	17
60.41	34
63.25	16

```
UGeO2
1.0
-3.591 3.591 5.122
3.591 -3.591 5.122
3.591 3.591 -5.122
U Ge O
4 4 8
Direct
0.000 0.000 0.000 U
0.500 0.000 0.000 U
0.500 0.000 0.500 U
0.500 0.500 0.500 U
0.000 0.000 0.500 Ge
0.000 0.500 0.000 Ge
0.000 0.500 0.500 Ge
0.500 0.500 0.000 Ge
0.268 0.850 0.049 O
0.280 0.232 0.082 O
0.301 0.220 0.451 O
0.350 0.801 0.582 O
0.650 0.199 0.418 O
0.699 0.780 0.549 O
0.720 0.768 0.918 O
0.732 0.150 0.951 O
```